For Li2TiNi2O5, DFT lattice parameters and positions (GGA+U) gives the calculated powder diffractogram in this record (Cu Kα, 1.54184 Å).

Top 10 peaks for 10 to 90 degrees two-theta, by angle:
2theta  I/Imax
12.15  19
22.04  61
26.08  47
37.12  15
37.28  36
42.11  55
43.92  100
62.29  29
62.65  31
63.91  14

Cell and atoms:
```
data_Li2TiNi2O5
_space_group_name_H-M_alt 'P 1'
_space_group_IT_number 1
_space_group_name_Hall 'P 1'
_cell_length_a 7.7285
_cell_length_b 7.7285
_cell_length_c 5.2077
_cell_angle_alpha 97.07
_cell_angle_beta 97.07
_cell_angle_gamma 140.91
loop_
_atom_site_label
_atom_site_type_symbol
_atom_site_fract_x
_atom_site_fract_y
_atom_site_fract_z
_atom_site_occupancy
Li1 Li 0.0000 0.0000 0.0000 1
Li2 Li 0.2985 0.7015 0.5000 1
Li3 Li 0.5958 0.4042 0.0000 1
Li4 Li 0.9001 0.0999 0.5000 1
Ti1 Ti 0.4962 0.5038 0.5000 1
Ti2 Ti 0.7971 0.2029 0.0000 1
Ni1 Ni 0.0983 0.9017 0.5000 1
Ni2 Ni 0.1941 0.8059 0.0000 1
Ni3 Ni 0.4007 0.5993 0.0000 1
Ni4 Ni 0.6990 0.3010 0.5000 1
O1 O 0.0305 0.4363 0.7734 1
O2 O 0.1520 0.3539 0.2449 1
O3 O 0.2721 0.2752 0.7259 1
O4 O 0.3461 0.1550 0.2659 1
O5 O 0.4622 0.0537 0.7584 1
O6 O 0.5637 0.9695 0.2266 1
O7 O 0.6461 0.8480 0.7551 1
O8 O 0.7248 0.7279 0.2741 1
O9 O 0.8450 0.6539 0.7341 1
O10 O 0.9463 0.5378 0.2416 1
```